Record 1
Structure and calculated powder diffraction line list of Li8Mn12Ni4O31 (a structure optimized by DFT (GGA+U); Cu Kα).

Most intense lines, 5° ≤ 2θ ≤ 70°, in order of rising 2θ:
2θ 18.46, I = 100, (1 1 -1)
2θ 18.62, I = 33, (1 1 1)
2θ 35.74, I = 22, (1 3 -1)
2θ 35.85, I = 26, (-1 3 1)
2θ 36.01, I = 15, (3 1 1)
2θ 37.37, I = 9, (2 2 -2)
2θ 43.58, I = 70, (0 0 4)
2θ 57.68, I = 8, (5 -1 1)
2θ 63.16, I = 14, (4 -4 0)
2θ 63.52, I = 13, (4 0 4)

Atomic structure:
Unit cell a=8.302 b=8.310 c=8.312 alpha=90.58 beta=90.30 gamma=90.27
Space group P1 (No. 1)
Inequivalent atoms, fractional coordinates:
1 Li 0.000 0.000 0.000 x1
2 Li 0.002 0.510 0.506 x1
3 Li 0.250 0.759 0.249 x1
4 Li 0.254 0.260 0.754 x1
5 Li 0.498 0.500 0.996 x1
6 Li 0.505 0.005 0.493 x1
7 Li 0.754 0.755 0.751 x1
8 Li 0.771 0.279 0.280 x1
9 Mn 0.123 0.381 0.128 x1
10 Mn 0.127 0.132 0.379 x1
11 Mn 0.130 0.885 0.626 x1
12 Mn 0.373 0.383 0.376 x1
13 Mn 0.378 0.635 0.623 x1
14 Mn 0.379 0.883 0.874 x1
15 Mn 0.624 0.866 0.124 x1
16 Mn 0.625 0.627 0.373 x1
17 Mn 0.626 0.131 0.862 x1
18 Mn 0.873 0.625 0.127 x1
19 Mn 0.876 0.378 0.877 x1
20 Mn 0.879 0.131 0.626 x1
21 Ni 0.127 0.631 0.876 x1
22 Ni 0.360 0.130 0.123 x1
23 Ni 0.628 0.381 0.624 x1
24 Ni 0.877 0.878 0.376 x1
25 O 0.104 0.612 0.126 x1
26 O 0.109 0.382 0.900 x1
27 O 0.118 0.120 0.614 x1
28 O 0.122 0.147 0.148 x1
29 O 0.127 0.904 0.393 x1
30 O 0.138 0.369 0.365 x1
31 O 0.146 0.655 0.627 x1
32 O 0.150 0.881 0.858 x1
33 O 0.353 0.376 0.143 x1
34 O 0.360 0.153 0.370 x1
35 O 0.367 0.871 0.639 x1
36 O 0.376 0.405 0.608 x1
37 O 0.377 0.651 0.854 x1
38 O 0.388 0.618 0.387 x1
39 O 0.393 0.890 0.105 x1
40 O 0.396 0.117 0.884 x1
41 O 0.602 0.395 0.378 x1
42 O 0.609 0.630 0.604 x1
43 O 0.615 0.899 0.892 x1
44 O 0.627 0.859 0.354 x1
45 O 0.641 0.619 0.141 x1
46 O 0.644 0.360 0.873 x1
47 O 0.655 0.134 0.617 x1
48 O 0.855 0.628 0.360 x1
49 O 0.858 0.855 0.127 x1
50 O 0.863 0.142 0.862 x1
51 O 0.878 0.364 0.649 x1
52 O 0.878 0.607 0.894 x1
53 O 0.888 0.389 0.114 x1
54 O 0.897 0.129 0.396 x1
55 O 0.901 0.899 0.624 x1

=====

Record 2
Structure and calculated powder diffraction line list of Li2Mn2NiO6 (a structure optimized by DFT (GGA+U); Cu Kα).

Most intense lines, 5° ≤ 2θ ≤ 70°, in order of rising 2θ:
2θ 17.28, I = 100, (0 0 2)
2θ 35.53, I = 7, (0 2 0)
2θ 36.58, I = 30, (3 1 1)
2θ 39.75, I = 22, (0 2 2)
2θ 44.54, I = 34, (3 1 3)
2θ 50.71, I = 14, (0 2 4)
2θ 57.85, I = 17, (3 1 5)
2θ 64.49, I = 14, (3 3 1)
2θ 65.95, I = 5, (0 2 6)
2θ 66.53, I = 5, (6 0 2)

Atomic structure:
Unit cell a=8.769 b=5.054 c=10.262 alpha=90.00 beta=90.00 gamma=90.00
Space group Cmce (No. 64)
Inequivalent atoms, fractional coordinates:
1 Li 0.250 0.080 0.250 x8
2 Mn 0.163 0.000 0.000 x8
3 Ni 0.000 0.000 0.500 x4
4 O 0.000 0.149 0.901 x8
5 O 0.181 0.177 0.605 x16

=====

Record 3
Structure and calculated powder diffraction line list of Li2Mn3NiO8 (a structure optimized by DFT (GGA+U); Cu Kα).

Most intense lines, 5° ≤ 2θ ≤ 70°, in order of rising 2θ:
2θ 15.11, I = 21, (1 1 0)
2θ 18.53, I = 47, (1 1 1)
2θ 21.43, I = 18, (2 0 0)
2θ 24.00, I = 25, (2 1 0)
2θ 26.33, I = 10, (2 1 1)
2θ 30.49, I = 22, (2 2 0)
2θ 35.92, I = 100, (3 1 1)
2θ 43.66, I = 35, (4 0 0)
2θ 57.77, I = 39, (5 1 1)
2θ 63.46, I = 50, (4 4 0)

Atomic structure:
Unit cell a=8.293 b=8.293 c=8.293 alpha=90.00 beta=90.00 gamma=90.00
Space group P2_13 (No. 198)
Inequivalent atoms, fractional coordinates:
1 Li 0.125 0.125 0.125 x4
2 Li 0.247 0.753 0.253 x4
3 Mn 0.124 0.625 0.628 x12
4 Ni 0.002 0.998 0.498 x4
5 O 0.102 0.107 0.873 x12
6 O 0.114 0.386 0.614 x4
7 O 0.125 0.853 0.637 x12
8 O 0.140 0.640 0.860 x4

=====

Record 4
Structure and calculated powder diffraction line list of Li5Mn2Ni5O12 (a structure optimized by DFT (GGA+U); Cu Kα).

Most intense lines, 5° ≤ 2θ ≤ 70°, in order of rising 2θ:
2θ 18.67, I = 37, (0 0 2)
2θ 20.08, I = 23, (0 2 0)
2θ 21.26, I = 20, (1 1 -1)
2θ 24.06, I = 29, (1 1 1)
2θ 37.67, I = 27, (1 3 1)
2θ 37.91, I = 32, (2 0 -2)
2θ 43.62, I = 100, (1 3 -3)
2θ 44.51, I = 47, (2 0 2)
2θ 64.02, I = 26, (1 3 5)
2θ 64.15, I = 27, (3 3 -1)

Atomic structure:
Unit cell a=5.005 b=8.846 c=9.672 alpha=90.00 beta=100.67 gamma=90.00
Space group C2 (No. 5)
Inequivalent atoms, fractional coordinates:
1 Li 0.000 0.000 0.000 x2
2 Li 0.246 0.832 0.241 x4
3 Li 0.249 0.000 0.758 x4
4 Mn 0.000 0.167 0.500 x2
5 Mn 0.000 0.663 0.000 x2
6 Ni 0.000 0.333 0.000 x2
7 Ni 0.000 0.499 0.500 x2
8 Ni 0.000 0.836 0.500 x2
9 Ni 0.242 0.162 0.243 x4
10 O 0.116 0.012 0.380 x4
11 O 0.116 0.323 0.382 x4
12 O 0.116 0.510 0.881 x4
13 O 0.125 0.817 0.880 x4
14 O 0.136 0.666 0.384 x4
15 O 0.144 0.168 0.882 x4

=====

Record 5
Structure and calculated powder diffraction line list of LiMn3Ni2O8 (a structure optimized by DFT (GGA+U); Cu Kα).

Most intense lines, 5° ≤ 2θ ≤ 70°, in order of rising 2θ:
2θ 18.26, I = 100, (0 1 1)
2θ 18.40, I = 89, (1 0 1)
2θ 35.07, I = 93, (1 0 3)
2θ 35.62, I = 100, (1 2 1)
2θ 35.85, I = 79, (2 1 1)
2θ 42.39, I = 45, (0 0 4)
2θ 43.54, I = 84, (2 2 0)
2θ 56.15, I = 32, (1 0 5)
2θ 57.39, I = 38, (2 3 1)
2θ 62.39, I = 92, (2 2 4)

Atomic structure:
Unit cell a=5.846 b=5.913 c=8.529 alpha=90.00 beta=90.00 gamma=90.00
Space group Imm2 (No. 44)
Inequivalent atoms, fractional coordinates:
1 Li 0.000 0.000 0.000 x2
2 Mn 0.000 0.500 0.770 x2
3 Mn 0.246 0.500 0.139 x4
4 Ni 0.000 0.252 0.384 x4
5 O 0.000 0.219 0.632 x4
6 O 0.000 0.282 0.137 x4
7 O 0.228 0.000 0.409 x4
8 O 0.231 0.500 0.361 x4

=====

Record 6
Structure and calculated powder diffraction line list of Li3Mn3NiO8 (a structure optimized by DFT (GGA+U); Cu Kα).

Most intense lines, 5° ≤ 2θ ≤ 70°, in order of rising 2θ:
2θ 18.60, I = 50, (0 0 2)
2θ 20.26, I = 100, (1 0 1)
2θ 25.98, I = 40, (1 0 2)
2θ 33.53, I = 38, (1 0 3)
2θ 36.75, I = 53, (1 1 2)
2θ 37.67, I = 60, (2 0 1)
2θ 41.20, I = 37, (2 0 2)
2θ 46.60, I = 71, (2 0 3)
2θ 61.44, I = 45, (2 0 5)
2θ 65.54, I = 42, (2 2 0)

Atomic structure:
Unit cell a=5.6969 b=5.6969 c=9.5396 alpha=90.00 beta=90.00 gamma=120.00
Space group P6_3mc (No. 186)
Inequivalent atoms, fractional coordinates:
1 Li 0.1724 0.3448 0.0000 x6
2 Mn 0.1668 0.3335 0.7312 x6
3 Ni 0.3333 0.6667 0.4561 x2
4 O 0.0000 0.0000 0.1228 x2
5 O 0.0281 0.5140 0.6091 x6
6 O 0.1591 0.3182 0.3439 x6
7 O 0.3333 0.6667 0.8425 x2

=====

Record 7
Structure and calculated powder diffraction line list of Li3MnNi2O6 (a structure optimized by DFT (GGA+U); Cu Kα).

Most intense lines, 5° ≤ 2θ ≤ 70°, in order of rising 2θ:
2θ 17.88, I = 100, (0 0 2)
2θ 35.58, I = 17, (3 1 -1)
2θ 37.17, I = 23, (3 1 1)
2θ 40.35, I = 20, (0 2 2)
2θ 42.84, I = 25, (3 1 -3)
2θ 46.86, I = 17, (3 1 3)
2θ 51.89, I = 16, (0 2 4)
2θ 56.18, I = 11, (3 1 -5)
2θ 61.70, I = 9, (3 1 5)
2θ 64.27, I = 10, (3 3 -1)

Atomic structure:
Unit cell a=8.934 b=5.007 c=9.974 alpha=90.00 beta=95.85 gamma=90.00
Space group C2/c (No. 15)
Inequivalent atoms, fractional coordinates:
1 Li 0.000 0.135 0.250 x4
2 Li 0.172 0.359 0.755 x8
3 Mn 0.250 0.250 0.500 x4
4 Ni 0.083 0.254 0.000 x8
5 O 0.085 0.410 0.388 x8
6 O 0.100 0.092 0.608 x8
7 O 0.243 0.068 0.889 x8

=====

Record 8
Structure and calculated powder diffraction line list of Li2MnNiO4 (a structure optimized by DFT (GGA+U); Cu Kα).

Most intense lines, 5° ≤ 2θ ≤ 70°, in order of rising 2θ:
2θ 18.39, I = 100, (0 1 1)
2θ 18.60, I = 94, (1 0 1)
2θ 35.70, I = 43, (1 2 1)
2θ 36.04, I = 23, (2 1 1)
2θ 37.27, I = 20, (0 2 2)
2θ 37.71, I = 19, (2 0 2)
2θ 43.46, I = 49, (0 0 4)
2θ 43.61, I = 99, (2 2 0)
2θ 57.50, I = 19, (0 1 5)
2θ 63.26, I = 53, (2 2 4)

Atomic structure:
Unit cell a=5.821 b=5.920 c=8.329 alpha=90.00 beta=90.00 gamma=90.00
Space group Imma (No. 74)
Inequivalent atoms, fractional coordinates:
1 Li 0.000 0.000 0.000 x4
2 Li 0.250 0.250 0.250 x4
3 Mn 0.250 0.250 0.750 x4
4 Ni 0.000 0.000 0.500 x4
5 O 0.000 0.026 0.751 x8
6 O 0.245 0.250 0.518 x8

=====

Record 9
Structure and calculated powder diffraction line list of Li2Mn3NiO8 (a structure optimized by DFT (GGA+U); Cu Kα).

Most intense lines, 5° ≤ 2θ ≤ 70°, in order of rising 2θ:
2θ 18.28, I = 100, (0 0 3)
2θ 21.44, I = 47, (0 1 2)
2θ 30.29, I = 49, (1 0 4)
2θ 35.61, I = 27, (0 1 5)
2θ 35.98, I = 51, (1 1 3)
2θ 36.16, I = 86, (0 2 1)
2θ 43.68, I = 55, (0 2 4)
2θ 57.45, I = 29, (0 2 7)
2θ 63.00, I = 36, (2 0 8)
2θ 63.97, I = 39, (2 2 0)

Atomic structure:
Unit cell a=5.8215 b=5.8215 c=14.5575 alpha=90.00 beta=90.00 gamma=120.00
Space group R3m (No. 160, hexagonal axes)
Inequivalent atoms, fractional coordinates:
1 Li 0.0000 0.0000 0.0000 x3
2 Li 0.0000 0.0000 0.3823 x3
3 Mn 0.1686 0.3371 0.8315 x9
4 Ni 0.0000 0.0000 0.6152 x3
5 O 0.0000 0.0000 0.2365 x3
6 O 0.0000 0.0000 0.7607 x3
7 O 0.0278 0.5139 0.7615 x9
8 O 0.1802 0.3604 0.5714 x9